Starting from DFT lattice parameters and positions (GGA-PBE), the powder XRD pattern of Na2Zn2SnGeIr2 was calculated for Cu Kα (weighted mean of Kα1 and Kα2).

a = 4.490 Å, b = 4.490 Å, c = 6.552 Å
α = 90.00°, β = 90.00°, γ = 90.00°
Atoms (fractional coordinates):
Na (0.000, 0.500, 0.238)
Na (0.500, 0.000, 0.762)
Zn (0.000, 0.000, 0.000)
Zn (0.500, 0.500, 0.500)
Sn (0.000, 0.000, 0.500)
Ge (0.500, 0.500, 0.000)
Ir (0.000, 0.500, 0.765)
Ir (0.500, 0.000, 0.235)

Top 12 peaks for 2θ from 10° to 90°, by angle:
2θ/deg	I/Imax
24.03	68
39.53	100
40.17	49
46.23	12
47.35	23
56.16	8
58.11	16
62.87	10
71.27	16
72.56	33
78.12	6
85.11	10

Starting from DFT lattice parameters and positions (GGA-PBE), the powder XRD pattern of Nd3Ge13Ir4 was calculated for Cu Kα (weighted mean of Kα1 and Kα2).

a = 9.136 Å, b = 9.136 Å, c = 9.136 Å
α = 90.00°, β = 90.00°, γ = 90.00°
Atoms (fractional coordinates):
Nd (0.000, 0.250, 0.500)
Nd (0.000, 0.750, 0.500)
Nd (0.250, 0.500, 0.000)
Nd (0.500, 0.000, 0.250)
Nd (0.500, 0.000, 0.750)
Nd (0.750, 0.500, 0.000)
Ge (0.000, 0.000, 0.000)
Ge (0.000, 0.302, 0.145)
Ge (0.000, 0.302, 0.855)
Ge (0.000, 0.698, 0.145)
Ge (0.000, 0.698, 0.855)
Ge (0.145, 0.000, 0.302)
Ge (0.145, 0.000, 0.698)
Ge (0.198, 0.500, 0.355)
Ge (0.198, 0.500, 0.645)
Ge (0.302, 0.145, 0.000)
Ge (0.302, 0.855, 0.000)
Ge (0.355, 0.198, 0.500)
Ge (0.355, 0.802, 0.500)
Ge (0.500, 0.355, 0.198)
Ge (0.500, 0.355, 0.802)
Ge (0.500, 0.500, 0.500)
Ge (0.500, 0.645, 0.198)
Ge (0.500, 0.645, 0.802)
Ge (0.645, 0.198, 0.500)
Ge (0.645, 0.802, 0.500)
Ge (0.698, 0.145, 0.000)
Ge (0.698, 0.855, 0.000)
Ge (0.802, 0.500, 0.355)
Ge (0.802, 0.500, 0.645)
Ge (0.855, 0.000, 0.302)
Ge (0.855, 0.000, 0.698)
Ir (0.250, 0.250, 0.250)
Ir (0.250, 0.250, 0.750)
Ir (0.250, 0.750, 0.250)
Ir (0.250, 0.750, 0.750)
Ir (0.750, 0.250, 0.250)
Ir (0.750, 0.250, 0.750)
Ir (0.750, 0.750, 0.250)
Ir (0.750, 0.750, 0.750)

Top 12 peaks for 2θ from 10° to 90°, by angle:
2θ/deg	I/Imax
19.43	55
27.62	29
33.99	54
35.43	100
36.81	38
39.45	59
44.34	43
48.84	59
57.02	22
62.69	15
68.07	39
78.32	15

Starting from DFT lattice parameters and positions (GGA-PBE), the powder XRD pattern of Nd2Ge5Ir3 was calculated for Cu Kα (weighted mean of Kα1 and Kα2).

a = 8.465 Å, b = 8.465 Å, c = 6.111 Å
α = 111.05°, β = 111.05°, γ = 90.12°
Atoms (fractional coordinates):
Nd (0.095, 0.362, 0.228)
Nd (0.362, 0.095, 0.728)
Nd (0.638, 0.905, 0.272)
Nd (0.905, 0.638, 0.772)
Ge (0.001, 0.999, 0.750)
Ge (0.240, 0.439, 0.838)
Ge (0.275, 0.725, 0.750)
Ge (0.277, 0.723, 0.250)
Ge (0.439, 0.240, 0.338)
Ge (0.561, 0.760, 0.662)
Ge (0.723, 0.277, 0.750)
Ge (0.725, 0.275, 0.250)
Ge (0.760, 0.561, 0.162)
Ge (0.999, 0.001, 0.250)
Ir (0.032, 0.749, 0.389)
Ir (0.251, 0.968, 0.111)
Ir (0.500, 0.500, 0.250)
Ir (0.500, 0.500, 0.750)
Ir (0.749, 0.032, 0.889)
Ir (0.968, 0.251, 0.611)

Top 12 peaks for 2θ from 10° to 90°, by angle:
2θ/deg	I/Imax
23.89	30
29.23	16
31.44	26
33.47	100
34.12	61
34.64	51
42.25	93
46.52	16
49.10	24
54.51	15
55.30	19
60.62	22

Starting from DFT lattice parameters and positions (GGA-PBE), the powder XRD pattern of Nd3Ge4Ir2Pd2 was calculated for Cu Kα (weighted mean of Kα1 and Kα2).

a = 12.968 Å, b = 12.968 Å, c = 12.968 Å
α = 161.56°, β = 160.84°, γ = 26.71°
Atoms (fractional coordinates):
Nd (0.000, 0.000, 0.000)
Nd (0.355, 0.855, 0.500)
Nd (0.645, 0.145, 0.500)
Ge (0.194, 0.694, 0.500)
Ge (0.450, 0.450, 0.000)
Ge (0.550, 0.550, 0.000)
Ge (0.806, 0.306, 0.500)
Ir (0.097, 0.597, 0.500)
Ir (0.903, 0.403, 0.500)
Pd (0.250, 0.250, 0.000)
Pd (0.750, 0.750, 0.000)

Top 12 peaks for 2θ from 10° to 90°, by angle:
2θ/deg	I/Imax
27.81	10
32.89	36
33.12	100
38.28	16
41.86	27
43.56	24
44.74	24
54.23	17
62.00	17
64.22	16
70.90	11
73.34	10

Starting from DFT lattice parameters and positions (GGA-PBE), the powder XRD pattern of PrNd2Ge4Ir4 was calculated for Cu Kα (weighted mean of Kα1 and Kα2).

a = 13.015 Å, b = 13.015 Å, c = 13.015 Å
α = 161.62°, β = 161.24°, γ = 26.38°
Atoms (fractional coordinates):
Pr (0.000, 0.000, 0.000)
Nd (0.355, 0.855, 0.500)
Nd (0.645, 0.145, 0.500)
Ge (0.196, 0.696, 0.500)
Ge (0.451, 0.451, 0.000)
Ge (0.549, 0.549, 0.000)
Ge (0.804, 0.304, 0.500)
Ir (0.099, 0.599, 0.500)
Ir (0.250, 0.250, 0.000)
Ir (0.750, 0.750, 0.000)
Ir (0.901, 0.401, 0.500)

Top 12 peaks for 2θ from 10° to 90°, by angle:
2θ/deg	I/Imax
32.81	25
33.33	100
38.37	14
42.63	24
43.55	22
44.76	16
47.15	13
54.81	12
62.58	15
64.23	11
72.12	11
73.43	10

Starting from DFT lattice parameters and positions (GGA-PBE), the powder XRD pattern of PrNd2Si2Ge2Ir4 was calculated for Cu Kα (weighted mean of Kα1 and Kα2).

a = 12.854 Å, b = 12.854 Å, c = 12.854 Å
α = 161.57°, β = 161.17°, γ = 26.46°
Atoms (fractional coordinates):
Pr (0.000, 0.000, 0.000)
Nd (0.354, 0.854, 0.500)
Nd (0.646, 0.146, 0.500)
Si (0.199, 0.699, 0.500)
Si (0.801, 0.301, 0.500)
Ge (0.450, 0.450, 0.000)
Ge (0.550, 0.550, 0.000)
Ir (0.104, 0.604, 0.500)
Ir (0.250, 0.250, 0.000)
Ir (0.750, 0.750, 0.000)
Ir (0.896, 0.396, 0.500)

Top 12 peaks for 2θ from 10° to 90°, by angle:
2θ/deg	I/Imax
28.07	11
28.53	14
33.19	16
33.67	100
38.83	16
43.02	20
44.00	18
45.32	10
52.46	11
63.23	13
72.87	11
74.28	10

Starting from DFT lattice parameters and positions (GGA-PBE), the powder XRD pattern of Nd3Si2Ge2Ir4 was calculated for Cu Kα (weighted mean of Kα1 and Kα2).

a = 12.856 Å, b = 12.856 Å, c = 12.856 Å
α = 161.61°, β = 161.17°, γ = 26.44°
Atoms (fractional coordinates):
Nd (0.000, 0.000, 0.000)
Nd (0.354, 0.854, 0.500)
Nd (0.646, 0.146, 0.500)
Si (0.199, 0.699, 0.500)
Si (0.801, 0.301, 0.500)
Ge (0.450, 0.450, 0.000)
Ge (0.550, 0.550, 0.000)
Ir (0.103, 0.603, 0.500)
Ir (0.250, 0.250, 0.000)
Ir (0.750, 0.750, 0.000)
Ir (0.897, 0.397, 0.500)

Top 12 peaks for 2θ from 10° to 90°, by angle:
2θ/deg	I/Imax
28.09	11
28.53	14
33.21	16
33.69	100
38.82	15
43.01	20
44.07	18
45.31	11
52.45	11
63.27	13
72.86	11
74.39	10

Starting from DFT lattice parameters and positions (GGA-PBE), the powder XRD pattern of NiGe2Ir was calculated for Cu Kα (weighted mean of Kα1 and Kα2).

a = 3.568 Å, b = 5.427 Å, c = 6.157 Å
α = 90.00°, β = 90.00°, γ = 90.00°
Atoms (fractional coordinates):
Ni (0.000, 0.248, 0.000)
Ni (0.500, 0.752, 0.500)
Ge (0.000, 0.055, 0.389)
Ge (0.000, 0.563, 0.719)
Ge (0.500, 0.437, 0.219)
Ge (0.500, 0.945, 0.889)
Ir (0.000, 0.746, 0.105)
Ir (0.500, 0.254, 0.605)

Top 12 peaks for 2θ from 10° to 90°, by angle:
2θ/deg	I/Imax
21.83	36
28.95	50
29.97	19
33.42	39
42.20	47
44.47	100
47.36	16
51.21	21
51.36	25
52.74	13
70.14	15
87.61	15

Starting from DFT lattice parameters and positions (GGA-PBE), the powder XRD pattern of Pr3Ni2Ge4Ir2 was calculated for Cu Kα (weighted mean of Kα1 and Kα2).

a = 12.660 Å, b = 12.660 Å, c = 12.660 Å
α = 161.05°, β = 160.85°, γ = 27.07°
Atoms (fractional coordinates):
Pr (0.000, 0.000, 0.000)
Pr (0.354, 0.854, 0.500)
Pr (0.646, 0.146, 0.500)
Ni (0.097, 0.597, 0.500)
Ni (0.903, 0.403, 0.500)
Ge (0.194, 0.694, 0.500)
Ge (0.448, 0.448, 0.000)
Ge (0.552, 0.552, 0.000)
Ge (0.806, 0.306, 0.500)
Ir (0.249, 0.249, 0.000)
Ir (0.751, 0.751, 0.000)

Top 12 peaks for 2θ from 10° to 90°, by angle:
2θ/deg	I/Imax
14.39	13
33.34	29
33.57	100
37.44	21
39.27	11
42.94	25
43.42	24
45.93	15
55.42	13
62.72	16
72.71	11
73.39	10

Starting from DFT lattice parameters and positions (GGA-PBE), the powder XRD pattern of GeIr4O8 was calculated for Cu Kα (weighted mean of Kα1 and Kα2).

a = 6.470 Å, b = 6.470 Å, c = 10.074 Å
α = 123.99°, β = 123.99°, γ = 25.46°
Atoms (fractional coordinates):
Ge (0.000, 0.000, 0.000)
Ir (0.195, 0.195, 0.769)
Ir (0.389, 0.389, 0.621)
Ir (0.611, 0.611, 0.379)
Ir (0.805, 0.805, 0.231)
O (0.037, 0.037, 0.212)
O (0.203, 0.203, 0.565)
O (0.383, 0.383, 0.951)
O (0.442, 0.442, 0.350)
O (0.558, 0.558, 0.650)
O (0.617, 0.617, 0.049)
O (0.797, 0.797, 0.435)
O (0.963, 0.963, 0.788)

Top 12 peaks for 2θ from 10° to 90°, by angle:
2θ/deg	I/Imax
10.72	34
21.53	18
26.58	89
29.70	74
31.05	23
34.72	41
35.98	100
38.76	62
48.24	23
51.14	28
54.82	39
60.85	28

Starting from DFT lattice parameters and positions (GGA-PBE), the powder XRD pattern of Sc3Ge3Ir2Os was calculated for Cu Kα (weighted mean of Kα1 and Kα2).

a = 3.786 Å, b = 6.745 Å, c = 6.745 Å
α = 119.74°, β = 90.00°, γ = 90.00°
Atoms (fractional coordinates):
Sc (0.000, 0.000, 0.000)
Sc (0.000, 0.419, 0.831)
Sc (0.000, 0.831, 0.419)
Ge (0.000, 0.415, 0.415)
Ge (0.500, 0.083, 0.750)
Ge (0.500, 0.750, 0.083)
Ir (0.500, 0.168, 0.417)
Ir (0.500, 0.417, 0.168)
Os (0.500, 0.662, 0.662)

Top 12 peaks for 2θ from 10° to 90°, by angle:
2θ/deg	I/Imax
15.15	48
23.50	57
26.43	27
35.63	100
38.88	45
38.98	23
40.71	27
40.87	51
47.54	30
47.68	60
48.06	29
64.81	27

Starting from DFT lattice parameters and positions (GGA-PBE), the powder XRD pattern of Ta2GeIr2Pb was calculated for Cu Kα (weighted mean of Kα1 and Kα2).

a = 10.687 Å, b = 4.353 Å, c = 10.739 Å
α = 90.00°, β = 109.51°, γ = 90.00°
Atoms (fractional coordinates):
Ta (0.000, 0.000, 0.000)
Ta (0.118, 0.500, 0.374)
Ta (0.242, 0.000, 0.745)
Ta (0.375, 0.500, 0.135)
Ta (0.500, 0.000, 0.500)
Ta (0.626, 0.500, 0.867)
Ta (0.747, 0.000, 0.259)
Ta (0.869, 0.500, 0.621)
Ge (0.248, 0.000, 0.253)
Ge (0.622, 0.500, 0.377)
Ge (0.748, 0.000, 0.744)
Ge (0.994, 0.000, 0.499)
Ir (0.132, 0.500, 0.135)
Ir (0.235, 0.000, 0.490)
Ir (0.371, 0.500, 0.873)
Ir (0.500, 0.000, 0.263)
Ir (0.628, 0.500, 0.621)
Ir (0.750, 0.000, 0.985)
Ir (0.867, 0.500, 0.381)
Ir (0.988, 0.000, 0.740)
Pb (0.121, 0.500, 0.876)
Pb (0.371, 0.500, 0.621)
Pb (0.501, 0.000, 0.005)
Pb (0.871, 0.500, 0.126)

Top 12 peaks for 2θ from 10° to 90°, by angle:
2θ/deg	I/Imax
24.87	18
25.01	54
28.92	18
41.27	99
41.45	100
48.95	20
59.84	11
59.96	22
75.11	16
75.46	28
75.54	11
75.65	12